Starting from a crystal structure in Alexandria, relaxed with GGA-PBE, the powder diffraction line list of ScB6W2 was computed for copper Kα.

Largest 8 diffraction maxima, most intense first, 2θ = 10–80°:
(1 1 1), d = 2.079 Å, intensity 100
(1 1 0), d = 2.652 Å, intensity 80
(0 0 1), d = 3.347 Å, intensity 42
(1 0 0), d = 4.594 Å, intensity 39
(1 1 2), d = 1.415 Å, intensity 24
(1 0 1), d = 2.705 Å, intensity 21
(3 0 0), d = 1.531 Å, intensity 20
(3 0 1), d = 1.392 Å, intensity 20

Cell and atoms:
Unit cell a=5.3045 b=5.3045 c=3.3467 alpha=90.00 beta=90.00 gamma=120.00
Fractional coordinates of all 9 atoms:
Sc 0.0000 0.0000 0.0000
B 0.0000 0.3347 0.5000
B 0.0000 0.6653 0.5000
B 0.3347 0.0000 0.5000
B 0.3347 0.3347 0.5000
B 0.6653 0.0000 0.5000
B 0.6653 0.6653 0.5000
W 0.3333 0.6667 0.0000
W 0.6667 0.3333 0.0000